Starting from a DFT-relaxed cell (GGA-PBE, Alexandria), the X-ray diffraction stick pattern of TlP2PbBrO was computed for Cu Kα, 1.54184 Å.
Kinematic intensities with the Lorentz-polarization factor, no thermal factor.

Largest 10 diffraction maxima, most intense first, 10° ≤ 2θ ≤ 90°:
| 2θ (°) | d_spacing | I (rel.) | (hkl) |
| --- | --- | --- | --- |
| 30.9 | 2.894 | 100.0 | 1 1 -2 |
| 25.2 | 3.538 | 93.3 | 2 0 1 |
| 42.2 | 2.140 | 53.8 | 1 1 3 |
| 18.8 | 4.724 | 53.8 | 0 0 2 |
| 38.2 | 2.355 | 51.6 | 3 1 -1 |
| 28.4 | 3.147 | 44.0 | 2 0 -3 |
| 19.0 | 4.681 | 33.6 | 2 0 -1 |
| 27.4 | 3.256 | 33.5 | 1 1 -1 |
| 27.0 | 3.302 | 32.0 | 1 1 0 |
| 40.8 | 2.214 | 26.8 | 2 0 3 |

Atomic structure:
Cell: 9.4269 3.5623 10.1121 Å, 90.00 110.89 90.00°
Atoms (fractional coordinates):
1 Tl 0.0000 0.0000 0.0000
2 Tl 0.5000 0.5000 0.0000
3 P 0.3409 0.0000 0.1767
4 P 0.3985 0.5000 0.3281
5 P 0.8409 0.5000 0.1767
6 P 0.8985 0.0000 0.3281
7 Pb 0.2092 0.0000 0.5408
8 Pb 0.7092 0.5000 0.5408
9 Br 0.0807 0.5000 0.7226
10 Br 0.5807 0.0000 0.7226
11 O 0.2777 0.5000 0.4063
12 O 0.7777 0.0000 0.4063


Starting from a DFT-relaxed cell (GGA-PBE, Alexandria), the X-ray diffraction stick pattern of TlP2PbBrO was computed for Cu Kα, 1.54184 Å.
Kinematic intensities with the Lorentz-polarization factor, no thermal factor.

Largest 10 diffraction maxima, most intense first, 10° ≤ 2θ ≤ 90°:
| 2θ (°) | d_spacing | I (rel.) | (hkl) |
| --- | --- | --- | --- |
| 31.9 | 2.803 | 100.0 | 1 1 1 |
| 26.0 | 3.422 | 93.6 | 4 0 -1 |
| 35.7 | 2.515 | 66.6 | 5 1 0 |
| 18.5 | 4.789 | 55.0 | 0 0 1 |
| 28.8 | 3.098 | 46.8 | 4 0 1 |
| 29.2 | 3.058 | 34.6 | 3 1 0 |
| 25.4 | 3.507 | 33.5 | 1 1 0 |
| 20.1 | 4.420 | 32.4 | 4 0 0 |
| 47.0 | 1.935 | 31.8 | 3 1 -2 |
| 54.8 | 1.676 | 28.8 | 5 1 2 |

Atomic structure:
Cell: 17.7695 3.5777 4.8129 Å, 90.00 95.71 90.00°
Atoms (fractional coordinates):
1 Tl 0.0000 0.0000 0.0000
2 Tl 0.5000 0.5000 0.0000
3 P 0.1342 0.0000 0.6229
4 P 0.1380 0.5000 0.3218
5 P 0.6342 0.5000 0.6229
6 P 0.6380 0.0000 0.3218
7 Pb 0.2790 0.5000 0.0803
8 Pb 0.7790 0.0000 0.0803
9 Br 0.3865 0.0000 0.4985
10 Br 0.8865 0.5000 0.4985
11 O 0.2150 0.0000 0.8048
12 O 0.7150 0.5000 0.8048